# La2Tb6DyEr3
Computed PXRD pattern, Cu Kα, 1.54184 Å. Input: a GGA-PBE-relaxed structure.
Lines closer than 0.1° are merged.

Peak list (6 most intense, 5° ≤ 2θ ≤ 70°, low angle first)
- 7.57 deg, rel. 1
- 30.60 deg, rel. 100
- 35.48 deg, rel. 51
- 51.05 deg, rel. 36
- 60.70 deg, rel. 43
- 63.70 deg, rel. 12

Atomic structure:
```
12
Lattice="3.100 -5.370 0.000 3.100 5.370 0.000 -2.066 0.000 11.678" Properties=species:S:1:pos:R:3 pbc="T T T"
La 3.100 3.582 0.000
La 3.100 -3.582 0.000
Tb 0.001 1.783 8.698
Tb 1.045 0.000 2.983
Tb 0.001 -1.783 8.698
Tb 4.133 1.783 2.981
Tb 3.089 0.000 8.696
Tb 4.133 -1.783 2.981
Dy 3.100 0.000 0.000
Er -1.033 0.000 5.839
Er 2.067 1.786 5.839
Er 2.067 -1.786 5.839
```